For Ac3La4Y4, a GGA-PBE-relaxed structure gives the theoretical powder diffraction line list in this record (λ = 1.5418 Å (Cu Kα)).
No peak broadening, texture or thermal motion is included.

Peak list (12 most intense, 2θ = 5–70°, sorted by position)
| 2θ/deg | d/Å | intensity |
| --- | --- | --- |
| 16.57 | 5.351 | 12.3 |
| 29.38 | 3.040 | 36.0 |
| 30.09 | 2.970 | 76.9 |
| 30.21 | 2.959 | 100.0 |
| 42.64 | 2.121 | 26.4 |
| 43.69 | 2.072 | 14.6 |
| 52.72 | 1.736 | 8.7 |
| 53.57 | 1.711 | 15.6 |
| 53.66 | 1.708 | 19.3 |
| 54.03 | 1.697 | 15.7 |
| 59.01 | 1.565 | 30.1 |
| 62.82 | 1.479 | 11.6 |

Structure:
abc: 3.689 5.919 19.100
angles: 98.87 95.52 90.01
Sites, in units of the cell vectors:
Ac  0.000  0.000  0.000
Ac  0.136  0.637  0.274
Ac  0.864  0.363  0.726
La  0.266  0.266  0.533
La  0.408  0.908  0.816
La  0.592  0.092  0.184
La  0.734  0.734  0.467
Y  0.317  0.817  0.635
Y  0.455  0.454  0.909
Y  0.545  0.546  0.091
Y  0.683  0.183  0.365

***

For Ac4La3Y, a GGA-PBE-relaxed structure gives the theoretical powder diffraction line list in this record (λ = 1.5418 Å (Cu Kα)).
No peak broadening, texture or thermal motion is included.

Peak list (12 most intense, 2θ = 5–70°, sorted by position)
| 2θ/deg | d/Å | intensity |
| --- | --- | --- |
| 24.46 | 3.639 | 8.2 |
| 28.42 | 3.141 | 100.0 |
| 32.69 | 2.740 | 17.7 |
| 32.83 | 2.728 | 17.5 |
| 33.26 | 2.694 | 15.8 |
| 47.01 | 1.933 | 13.0 |
| 47.33 | 1.921 | 11.9 |
| 47.44 | 1.917 | 11.9 |
| 55.75 | 1.649 | 15.5 |
| 55.94 | 1.644 | 15.4 |
| 56.51 | 1.629 | 13.0 |
| 58.80 | 1.570 | 12.6 |

Structure:
abc: 5.479 10.911 10.774
angles: 90.00 90.00 90.00
Sites, in units of the cell vectors:
Ac  0.250  0.001  0.136
Ac  0.250  0.250  0.865
Ac  0.250  0.499  0.136
Ac  0.250  0.750  0.865
Ac  0.750  0.250  0.135
Ac  0.750  0.501  0.864
Ac  0.750  0.750  0.135
Ac  0.750  0.999  0.864
La  0.250  0.000  0.614
La  0.250  0.500  0.614
La  0.250  0.750  0.385
La  0.750  0.000  0.386
La  0.750  0.250  0.615
La  0.750  0.500  0.386
Y  0.250  0.250  0.383
Y  0.750  0.750  0.617

***

For Ac6LaY4, a GGA-PBE-relaxed structure gives the theoretical powder diffraction line list in this record (λ = 1.5418 Å (Cu Kα)).
No peak broadening, texture or thermal motion is included.

Peak list (12 most intense, 2θ = 5–70°, sorted by position)
| 2θ/deg | d/Å | intensity |
| --- | --- | --- |
| 20.02 | 4.435 | 41.2 |
| 26.19 | 3.403 | 100.0 |
| 27.14 | 3.286 | 68.9 |
| 27.77 | 3.213 | 92.1 |
| 30.13 | 2.966 | 23.0 |
| 32.58 | 2.748 | 31.4 |
| 33.78 | 2.654 | 37.5 |
| 37.91 | 2.373 | 19.6 |
| 48.18 | 1.889 | 27.0 |
| 50.45 | 1.809 | 26.9 |
| 51.39 | 1.778 | 31.2 |
| 52.29 | 1.750 | 18.7 |

Structure:
abc: 9.661 9.661 9.661
angles: 134.29 134.29 66.64
Sites, in units of the cell vectors:
Ac  0.000  0.500  0.500
Ac  0.116  0.116  0.599
Ac  0.483  0.884  0.000
Ac  0.500  0.000  0.500
Ac  0.517  0.517  0.401
Ac  0.884  0.483  0.000
La  0.500  0.500  0.000
Y  0.060  0.749  0.000
Y  0.251  0.251  0.311
Y  0.749  0.060  0.000
Y  0.940  0.940  0.689

***

For AcLa2Y7, a GGA-PBE-relaxed structure gives the theoretical powder diffraction line list in this record (λ = 1.5418 Å (Cu Kα)).
No peak broadening, texture or thermal motion is included.

Peak list (12 most intense, 2θ = 5–70°, sorted by position)
| 2θ/deg | d/Å | intensity |
| --- | --- | --- |
| 29.67 | 3.011 | 30.9 |
| 31.05 | 2.880 | 100.0 |
| 31.29 | 2.859 | 75.5 |
| 43.49 | 2.081 | 22.5 |
| 45.76 | 1.983 | 7.4 |
| 50.92 | 1.793 | 8.6 |
| 55.24 | 1.663 | 17.5 |
| 55.40 | 1.658 | 14.8 |
| 56.38 | 1.632 | 16.0 |
| 60.82 | 1.523 | 19.3 |
| 60.91 | 1.521 | 9.3 |
| 64.73 | 1.440 | 10.3 |

Structure:
abc: 8.978 8.978 7.173
angles: 101.40 101.40 37.42
Sites, in units of the cell vectors:
Ac  0.000  0.000  0.000
La  0.214  0.214  0.356
La  0.786  0.786  0.644
Y  0.000  0.000  0.500
Y  0.213  0.213  0.858
Y  0.400  0.400  0.699
Y  0.402  0.402  0.203
Y  0.598  0.598  0.797
Y  0.600  0.600  0.301
Y  0.787  0.787  0.142

***

For AcLa3Y8, a GGA-PBE-relaxed structure gives the theoretical powder diffraction line list in this record (λ = 1.5418 Å (Cu Kα)).
No peak broadening, texture or thermal motion is included.

Peak list (12 most intense, 2θ = 5–70°, sorted by position)
| 2θ/deg | d/Å | intensity |
| --- | --- | --- |
| 15.61 | 5.676 | 11.9 |
| 21.82 | 4.073 | 34.8 |
| 30.06 | 2.973 | 14.5 |
| 30.57 | 2.924 | 100.0 |
| 31.51 | 2.839 | 19.2 |
| 31.64 | 2.828 | 13.2 |
| 35.14 | 2.554 | 21.2 |
| 43.42 | 2.084 | 14.0 |
| 44.49 | 2.036 | 14.8 |
| 50.69 | 1.801 | 16.3 |
| 54.33 | 1.689 | 25.0 |
| 63.63 | 1.462 | 18.3 |

Structure:
abc: 8.942 8.942 8.942
angles: 137.63 98.38 96.63
Sites, in units of the cell vectors:
Ac  0.000  0.000  0.000
La  0.254  0.500  0.754
La  0.500  0.000  0.500
La  0.746  0.500  0.246
Y  0.074  0.823  0.251
Y  0.256  0.008  0.752
Y  0.256  0.505  0.248
Y  0.427  0.177  0.251
Y  0.573  0.823  0.749
Y  0.744  0.495  0.752
Y  0.744  0.992  0.248
Y  0.926  0.177  0.749

***

For AcLa2Y, a GGA-PBE-relaxed structure gives the theoretical powder diffraction line list in this record (λ = 1.5418 Å (Cu Kα)).
No peak broadening, texture or thermal motion is included.

Peak list (12 most intense, 2θ = 5–70°, sorted by position)
| 2θ/deg | d/Å | intensity |
| --- | --- | --- |
| 14.54 | 6.093 | 22.7 |
| 28.97 | 3.082 | 100.0 |
| 29.31 | 3.047 | 97.0 |
| 33.74 | 2.657 | 67.1 |
| 33.86 | 2.647 | 33.2 |
| 48.01 | 1.895 | 12.5 |
| 48.55 | 1.875 | 48.4 |
| 57.25 | 1.609 | 30.4 |
| 57.62 | 1.600 | 14.5 |
| 57.83 | 1.594 | 43.1 |
| 60.04 | 1.541 | 12.8 |
| 60.80 | 1.523 | 12.3 |

Structure:
abc: 7.451 10.588 3.790
angles: 90.00 90.00 90.00
Sites, in units of the cell vectors:
Ac  0.000  0.000  0.000
Ac  0.500  0.500  0.000
La  0.250  0.250  0.500
La  0.250  0.750  0.500
La  0.750  0.250  0.500
La  0.750  0.750  0.500
Y  0.000  0.500  0.000
Y  0.500  0.000  0.000

***

For Ac8LaY2, a GGA-PBE-relaxed structure gives the theoretical powder diffraction line list in this record (λ = 1.5418 Å (Cu Kα)).
No peak broadening, texture or thermal motion is included.

Peak list (12 most intense, 2θ = 5–70°, sorted by position)
| 2θ/deg | d/Å | intensity |
| --- | --- | --- |
| 20.55 | 4.321 | 9.6 |
| 27.43 | 3.252 | 25.2 |
| 29.10 | 3.068 | 100.0 |
| 29.64 | 3.014 | 17.2 |
| 29.92 | 2.987 | 32.3 |
| 31.38 | 2.851 | 17.7 |
| 39.23 | 2.297 | 9.1 |
| 42.62 | 2.121 | 13.2 |
| 43.91 | 2.062 | 14.4 |
| 47.62 | 1.910 | 10.9 |
| 52.61 | 1.740 | 22.2 |
| 56.66 | 1.624 | 18.3 |

Structure:
abc: 10.154 10.154 5.973
angles: 107.06 107.06 53.78
Sites, in units of the cell vectors:
Ac  0.062  0.650  0.356
Ac  0.202  0.798  0.000
Ac  0.341  0.341  0.841
Ac  0.350  0.938  0.644
Ac  0.650  0.062  0.356
Ac  0.659  0.659  0.159
Ac  0.798  0.202  0.000
Ac  0.938  0.350  0.644
La  0.500  0.500  0.500
Y  0.200  0.200  0.200
Y  0.800  0.800  0.800

***

For Ac12La5Y, a GGA-PBE-relaxed structure gives the theoretical powder diffraction line list in this record (λ = 1.5418 Å (Cu Kα)).
No peak broadening, texture or thermal motion is included.

Peak list (12 most intense, 2θ = 5–70°, sorted by position)
| 2θ/deg | d/Å | intensity |
| --- | --- | --- |
| 25.99 | 3.429 | 21.1 |
| 26.18 | 3.403 | 12.8 |
| 28.33 | 3.150 | 36.8 |
| 29.66 | 3.012 | 100.0 |
| 29.84 | 2.994 | 45.7 |
| 38.82 | 2.320 | 14.8 |
| 46.08 | 1.970 | 19.5 |
| 51.00 | 1.791 | 22.8 |
| 51.11 | 1.787 | 10.5 |
| 54.66 | 1.679 | 11.9 |
| 54.98 | 1.670 | 23.4 |
| 55.56 | 1.654 | 16.1 |

Structure:
abc: 6.300 11.819 11.819
angles: 60.49 90.00 90.00
Sites, in units of the cell vectors:
Ac  0.000  0.162  0.838
Ac  0.000  0.171  0.495
Ac  0.000  0.495  0.171
Ac  0.000  0.504  0.829
Ac  0.000  0.829  0.504
Ac  0.000  0.838  0.162
Ac  0.500  0.279  0.954
Ac  0.500  0.286  0.611
Ac  0.500  0.611  0.286
Ac  0.500  0.618  0.946
Ac  0.500  0.946  0.618
Ac  0.500  0.954  0.279
La  0.000  0.173  0.173
La  0.000  0.504  0.504
La  0.000  0.839  0.839
La  0.500  0.611  0.611
La  0.500  0.944  0.944
Y  0.500  0.279  0.279

***

For AcLa5Y4, a GGA-PBE-relaxed structure gives the theoretical powder diffraction line list in this record (λ = 1.5418 Å (Cu Kα)).
No peak broadening, texture or thermal motion is included.

Peak list (12 most intense, 2θ = 5–70°, sorted by position)
| 2θ/deg | d/Å | intensity |
| --- | --- | --- |
| 6.93 | 12.762 | 4.0 |
| 25.95 | 3.434 | 2.4 |
| 27.58 | 3.235 | 4.2 |
| 29.54 | 3.024 | 100.0 |
| 33.78 | 2.654 | 36.2 |
| 35.16 | 2.552 | 14.2 |
| 46.89 | 1.938 | 2.2 |
| 48.52 | 1.876 | 13.0 |
| 49.55 | 1.840 | 21.3 |
| 57.83 | 1.594 | 29.9 |
| 59.66 | 1.550 | 10.2 |
| 61.32 | 1.512 | 11.2 |

Structure:
abc: 3.753 3.753 25.525
angles: 90.00 90.00 90.00
Sites, in units of the cell vectors:
Ac  0.000  0.000  0.000
La  0.500  0.500  0.109
La  0.500  0.500  0.305
La  0.500  0.500  0.500
La  0.500  0.500  0.695
La  0.500  0.500  0.891
Y  0.000  0.000  0.208
Y  0.000  0.000  0.403
Y  0.000  0.000  0.597
Y  0.000  0.000  0.792

***

For Ac3La6Y2, a GGA-PBE-relaxed structure gives the theoretical powder diffraction line list in this record (λ = 1.5418 Å (Cu Kα)).
No peak broadening, texture or thermal motion is included.

Peak list (12 most intense, 2θ = 5–70°, sorted by position)
| 2θ/deg | d/Å | intensity |
| --- | --- | --- |
| 28.90 | 3.089 | 100.0 |
| 29.06 | 3.073 | 33.4 |
| 33.39 | 2.684 | 22.9 |
| 33.62 | 2.666 | 44.8 |
| 48.07 | 1.893 | 24.9 |
| 48.18 | 1.889 | 16.5 |
| 56.93 | 1.617 | 14.9 |
| 57.11 | 1.613 | 10.1 |
| 57.18 | 1.611 | 14.7 |
| 57.32 | 1.607 | 9.7 |
| 57.44 | 1.604 | 9.6 |
| 59.83 | 1.546 | 8.5 |

Structure:
abc: 6.556 8.414 8.486
angles: 107.51 105.14 97.56
Sites, in units of the cell vectors:
Ac  0.000  0.000  0.000
Ac  0.095  0.813  0.365
Ac  0.905  0.187  0.635
La  0.186  0.637  0.732
La  0.363  0.281  0.453
La  0.454  0.095  0.823
La  0.546  0.905  0.177
La  0.637  0.719  0.547
La  0.814  0.363  0.268
Y  0.277  0.458  0.089
Y  0.723  0.542  0.911

***

For Ac2LaY7, a GGA-PBE-relaxed structure gives the theoretical powder diffraction line list in this record (λ = 1.5418 Å (Cu Kα)).
No peak broadening, texture or thermal motion is included.

Peak list (12 most intense, 2θ = 5–70°, sorted by position)
| 2θ/deg | d/Å | intensity |
| --- | --- | --- |
| 20.98 | 4.235 | 24.5 |
| 24.90 | 3.577 | 27.2 |
| 29.55 | 3.023 | 38.1 |
| 30.00 | 2.979 | 100.0 |
| 30.10 | 2.969 | 24.3 |
| 30.35 | 2.945 | 72.7 |
| 30.96 | 2.889 | 32.1 |
| 31.14 | 2.872 | 24.9 |
| 31.86 | 2.809 | 43.0 |
| 33.22 | 2.697 | 29.1 |
| 41.57 | 2.172 | 23.0 |
| 51.60 | 1.771 | 27.2 |

Structure:
abc: 5.890 8.321 8.671
angles: 113.21 101.94 100.77
Sites, in units of the cell vectors:
Ac  0.082  0.217  0.226
Ac  0.918  0.783  0.774
La  0.000  0.500  0.000
Y  0.000  0.000  0.500
Y  0.325  0.479  0.721
Y  0.344  0.743  0.478
Y  0.485  0.134  0.878
Y  0.515  0.866  0.122
Y  0.656  0.257  0.522
Y  0.675  0.521  0.279

***

For Ac6La3Y2, a GGA-PBE-relaxed structure gives the theoretical powder diffraction line list in this record (λ = 1.5418 Å (Cu Kα)).
No peak broadening, texture or thermal motion is included.

Peak list (12 most intense, 2θ = 5–70°, sorted by position)
| 2θ/deg | d/Å | intensity |
| --- | --- | --- |
| 28.35 | 3.148 | 100.0 |
| 28.44 | 3.139 | 33.0 |
| 32.88 | 2.724 | 68.0 |
| 47.14 | 1.928 | 33.6 |
| 47.26 | 1.923 | 16.6 |
| 55.91 | 1.644 | 30.4 |
| 56.02 | 1.642 | 25.0 |
| 56.12 | 1.639 | 5.0 |
| 58.62 | 1.575 | 4.4 |
| 58.67 | 1.574 | 8.9 |
| 58.84 | 1.569 | 4.3 |
| 68.99 | 1.361 | 5.4 |

Structure:
abc: 6.683 8.601 8.605
angles: 107.28 104.90 97.49
Sites, in units of the cell vectors:
Ac  0.052  0.404  0.181
Ac  0.136  0.230  0.549
Ac  0.322  0.868  0.267
Ac  0.678  0.132  0.733
Ac  0.864  0.770  0.451
Ac  0.948  0.596  0.819
La  0.407  0.683  0.641
La  0.500  0.500  0.000
La  0.593  0.317  0.359
Y  0.231  0.045  0.913
Y  0.769  0.955  0.087

***

- Number 6 is which compound?
  AcLa2Y

***

- What is the formula in the fifth record?
  AcLa3Y8